No. 1
Diffraction record for K2TaCuBr6. The powder diffractogram is theoretical, not measured: it uses a GGA-PBE-relaxed structure and Cu Kα X-rays.
Neutral-atom scattering factors, no anomalous dispersion.

Crystal structure
```
K2TaCuBr6
1.0
0.0000 5.3197 5.3197
5.3197 0.0000 5.3197
5.3197 5.3197 0.0000
K Ta Cu Br
2 1 1 6
direct
0.2500 0.2500 0.2500
0.7500 0.7500 0.7500
0.0000 0.0000 0.0000
0.5000 0.5000 0.5000
0.2486 0.2486 0.7514
0.2486 0.7514 0.2486
0.2486 0.7514 0.7514
0.7514 0.2486 0.2486
0.7514 0.2486 0.7514
0.7514 0.7514 0.2486
```

The 8 most intense peaks (2θ from 5° to 70°), in order of rising 2θ:
d/Å	2θ (°)	Rel. int.
5.320	16.67	894
3.762	23.65	201
3.071	29.07	319
2.660	33.70	1000
2.379	37.82	474
1.881	48.40	700
1.773	51.54	246
1.536	60.27	237

No. 2
Diffraction record for CaB2H2. The powder diffractogram is theoretical, not measured: it uses a GGA-PBE-relaxed structure and Cu Kα X-rays.
Neutral-atom scattering factors, no anomalous dispersion.

Crystal structure
```
CaB2H2
1.0
11.1143 0.0000 0.0000
0.0000 5.3208 0.0000
0.0000 0.0000 3.2334
Ca B H
4 8 8
direct
0.1508 0.2500 0.0188
0.3492 0.7500 0.5188
0.6508 0.2500 0.4812
0.8492 0.7500 0.9812
0.1073 0.7500 0.5168
0.1563 0.7500 0.0162
0.3437 0.2500 0.5162
0.3927 0.2500 0.0168
0.6073 0.7500 0.9832
0.6563 0.7500 0.4838
0.8437 0.2500 0.9838
0.8927 0.2500 0.4832
0.0000 0.0000 0.5000
0.0000 0.5000 0.5000
0.0487 0.7500 0.9002
0.4513 0.2500 0.4002
0.5000 0.0000 0.0000
0.5000 0.5000 0.0000
0.5487 0.7500 0.5998
0.9513 0.2500 0.0998
```

The 8 most intense peaks (2θ from 5° to 70°), in order of rising 2θ:
d/Å	2θ (°)	Rel. int.
3.843	23.14	601
3.105	28.75	366
2.779	32.22	549
2.682	33.42	1000
2.660	33.69	820
2.436	36.90	741
1.922	47.30	358
1.797	50.82	480